# 1
# Cr2O3
Theoretical PXRD pattern, Cu Kα. Input: a crystal structure in the Materials Project, relaxed with PBE+U.
Neutral-atom scattering factors, no anomalous dispersion.

Atomic structure:
a = 7.314 Å, b = 5.137 Å, c = 5.300 Å
α = 90.00°, β = 90.00°, γ = 90.00°
Space group Pbcn (No. 60)
Symmetry-distinct sites (fractional):
Cr 0.105 0.250 0.034
O 0.000 0.050 0.750
O 0.152 0.392 0.393

Top 12 peaks for 10° ≤ 2θ ≤ 80°, by angle:
index  two_theta  Rel. int.
1 1 1  27.08  11
0 0 2  33.83  28
2 1 1  34.54  100
0 2 0  34.93  25
3 1 0  40.97  9
0 2 2  49.42  26
4 0 0  49.87  11
4 1 1  56.14  10
1 1 3  56.51  12
2 1 3  60.98  18
4 0 2  61.63  12
2 3 1  62.38  39



# 2
# Cr3O5
Theoretical PXRD pattern, Cu Kα. Input: a crystal structure in the Materials Project, relaxed with PBE+U.
Neutral-atom scattering factors, no anomalous dispersion.

Atomic structure:
a = 4.810 Å, b = 5.286 Å, c = 5.296 Å
α = 113.01°, β = 91.65°, γ = 114.83°
Space group P1 (No. 1)
Symmetry-distinct sites (fractional):
Cr 0.000 0.000 0.000
Cr 0.061 0.316 0.550
Cr 0.641 0.458 0.095
O 0.270 0.217 0.808
O 0.358 0.262 0.307
O 0.771 0.871 0.287
O 0.901 0.565 0.817
O 0.912 0.352 0.208

Top 12 peaks for 10° ≤ 2θ ≤ 80°, by angle:
index  two_theta  Rel. int.
0 0 1  18.71  53
0 1 0  20.67  100
1 0 0  20.91  95
1 -1 0  21.44  85
1 -1 1  25.51  92
-1 1 1  31.39  82
1 1 -1  33.39  43
0 1 -2  34.12  30
2 -1 0  37.46  29
1 1 -2  40.93  36
2 0 -2  50.65  31
2 -1 2  54.73  34



# 3
# Cr3O8
Theoretical PXRD pattern, Cu Kα. Input: a crystal structure in the Materials Project, relaxed with PBE+U.
Neutral-atom scattering factors, no anomalous dispersion.

Atomic structure:
a = 5.8108 Å, b = 5.8108 Å, c = 10.2080 Å
α = 90.00°, β = 90.00°, γ = 120.00°
Space group P6_3mc (No. 186)
Symmetry-distinct sites (fractional):
Cr 0.1670 0.3340 0.0000
O 0.0000 0.0000 0.0989
O 0.0344 0.5172 0.0963
O 0.1499 0.2999 0.4052
O 0.3333 0.6667 0.9009

Top 12 peaks for 10° ≤ 2θ ≤ 80°, by angle:
index  two_theta  Rel. int.
0 0 2  17.37  100
1 0 0  17.62  7
1 0 1  19.67  31
1 1 2  35.55  6
2 0 1  36.79  18
2 0 2  39.95  19
2 0 3  44.80  26
2 0 4  50.97  9
2 0 5  58.19  15
2 2 0  64.10  11
2 2 2  66.98  11
2 0 7  75.31  6